[1]
This entry pairs a crystal structure of LiVPO4 with its calculated X-ray powder pattern. Radiation: Cu Kα. Structure: a DFT-relaxed cell (PBE+U, the Materials Project).
Kinematic intensities with the Lorentz-polarization factor, no thermal factor.

Structure:
```
data_LiVPO4
_chemical_formula_sum 'Li8 V8 P8 O32'
_symmetry_space_group_name_H-M 'P b c a'
_symmetry_Int_Tables_number 61
_cell_length_a 6.003
_cell_length_b 7.647
_cell_length_c 14.009
_cell_angle_alpha 90.00
_cell_angle_beta 90.00
_cell_angle_gamma 90.00
loop_
_symmetry_equiv_pos_as_xyz
'x,y,z'
'-x,-y,-z'
'-x+1/2,-y,z+1/2'
'x+1/2,y,-z+1/2'
'x+1/2,-y+1/2,-z'
'-x+1/2,y+1/2,z'
'-x,y+1/2,-z+1/2'
'x,-y+1/2,z+1/2'
loop_
_atom_site_label
_atom_site_type_symbol
_atom_site_fract_x
_atom_site_fract_y
_atom_site_fract_z
Li1 Li 0.158 0.190 0.225
V1 V 0.107 0.686 0.532
P1 P 0.103 0.552 0.870
O1 O 0.016 0.627 0.136
O2 O 0.060 0.199 0.591
O3 O 0.179 0.603 0.770
O4 O 0.201 0.042 0.945
```

Top 10 peaks for 5 to 70 degrees two-theta, in order of rising 2θ:
12.6°, I 100, (0 0 2)
24.1°, I 24, (0 2 1)
26.9°, I 85, (1 1 3)
30.5°, I 43, (1 2 2)
32.0°, I 27, (2 1 0)
32.7°, I 20, (2 1 1)
33.8°, I 20, (1 2 3)
34.6°, I 18, (2 1 2)
43.2°, I 18, (1 1 6)
50.5°, I 22, (1 4 1)



[2]
This entry pairs a crystal structure of MoO2 with its calculated X-ray powder pattern. Radiation: Cu Kα. Structure: a DFT-relaxed cell (PBE+U, the Materials Project).
Kinematic intensities with the Lorentz-polarization factor, no thermal factor.

Structure:
```
data_MoO2
_chemical_formula_sum 'Mo2 O4'
_symmetry_space_group_name_H-M 'C 1 2/m 1'
_symmetry_Int_Tables_number 12
_cell_length_a 5.693
_cell_length_b 3.125
_cell_length_c 5.072
_cell_angle_alpha 90.00
_cell_angle_beta 112.78
_cell_angle_gamma 90.00
loop_
_symmetry_equiv_pos_as_xyz
'x,y,z'
'-x,-y,-z'
'-x,y,-z'
'x,-y,z'
'x+1/2,y+1/2,z'
'-x+1/2,-y+1/2,-z'
'-x+1/2,y+1/2,-z'
'x+1/2,-y+1/2,z'
loop_
_atom_site_label
_atom_site_type_symbol
_atom_site_fract_x
_atom_site_fract_y
_atom_site_fract_z
Mo1 Mo 0.000 0.000 0.000
O1 O 0.235 0.500 0.210
```

Top 10 peaks for 5 to 70 degrees two-theta, in order of rising 2θ:
19.0°, I 100, (0 0 1)
32.0°, I 21, (2 0 -1)
33.4°, I 38, (1 1 0)
35.1°, I 15, (1 1 -1)
40.5°, I 20, (2 0 -2)
42.0°, I 35, (1 1 1)
46.2°, I 12, (1 1 -2)
56.8°, I 14, (3 1 -1)
57.1°, I 11, (1 1 2)
62.7°, I 11, (2 0 2)



[3]
This entry pairs a crystal structure of NaCrPCO7 with its calculated X-ray powder pattern. Radiation: Cu Kα. Structure: a DFT-relaxed cell (PBE+U, the Materials Project).
Kinematic intensities with the Lorentz-polarization factor, no thermal factor.

Structure:
```
data_NaCrPCO7
_chemical_formula_sum 'Na2 Cr2 P2 C2 O14'
_symmetry_space_group_name_H-M 'P 1 21 1'
_symmetry_Int_Tables_number 4
_cell_length_a 5.283
_cell_length_b 6.298
_cell_length_c 9.067
_cell_angle_alpha 90.00
_cell_angle_beta 92.17
_cell_angle_gamma 90.00
loop_
_symmetry_equiv_pos_as_xyz
'x,y,z'
'-x,y+1/2,-z'
loop_
_atom_site_label
_atom_site_type_symbol
_atom_site_fract_x
_atom_site_fract_y
_atom_site_fract_z
Na1 Na 0.238 0.000 0.268
Cr1 Cr 0.214 0.213 0.840
P1 P 0.280 0.720 0.934
C1 C 0.272 0.233 0.579
O1 O 0.049 0.228 0.641
O2 O 0.120 0.732 0.073
O3 O 0.205 0.527 0.836
O4 O 0.219 0.916 0.833
O5 O 0.312 0.234 0.447
O6 O 0.435 0.212 0.025
O7 O 0.456 0.236 0.688
```

Top 10 peaks for 5 to 70 degrees two-theta, in order of rising 2θ:
9.8°, I 100, (0 0 1)
17.1°, I 50, (0 1 1)
19.1°, I 22, (1 0 -1)
19.8°, I 26, (1 0 1)
22.0°, I 23, (1 1 0)
24.4°, I 21, (1 1 1)
25.4°, I 31, (1 0 -2)
28.3°, I 37, (0 2 0)
30.0°, I 15, (1 1 2)
34.0°, I 16, (2 0 0)



[4]
This entry pairs a crystal structure of CsAlFe3Si3O12 with its calculated X-ray powder pattern. Radiation: Cu Kα. Structure: a DFT-relaxed cell (PBE+U, the Materials Project).
Kinematic intensities with the Lorentz-polarization factor, no thermal factor.

Structure:
```
data_CsAlFe3Si3O12
_chemical_formula_sum 'Cs1 Al1 Fe3 Si3 O12'
_symmetry_space_group_name_H-M 'P 1'
_symmetry_Int_Tables_number 1
_cell_length_a 5.402
_cell_length_b 5.403
_cell_length_c 10.898
_cell_angle_alpha 94.61
_cell_angle_beta 95.10
_cell_angle_gamma 119.91
loop_
_symmetry_equiv_pos_as_xyz
'x,y,z'
loop_
_atom_site_label
_atom_site_type_symbol
_atom_site_fract_x
_atom_site_fract_y
_atom_site_fract_z
Cs1 Cs 0.000 0.000 0.000
Al1 Al 0.410 0.748 0.218
Fe1 Fe 0.145 0.834 0.475
Fe2 Fe 0.495 0.495 0.477
Fe3 Fe 0.834 0.140 0.477
Si1 Si 0.232 0.571 0.741
Si2 Si 0.572 0.235 0.741
Si3 Si 0.748 0.407 0.212
O1 O 0.047 0.566 0.155
O2 O 0.129 0.131 0.390
O3 O 0.169 0.527 0.589
O4 O 0.418 0.921 0.797
O5 O 0.422 0.422 0.790
O6 O 0.453 0.817 0.384
O7 O 0.532 0.177 0.590
O8 O 0.554 0.542 0.166
O9 O 0.578 0.069 0.156
O10 O 0.813 0.451 0.370
O11 O 0.862 0.855 0.571
O12 O 0.922 0.419 0.798
```

Top 10 peaks for 5 to 70 degrees two-theta, in order of rising 2θ:
8.2°, I 63, (0 0 1)
16.5°, I 38, (0 0 2)
22.0°, I 37, (1 0 1)
23.5°, I 57, (0 1 -2)
25.2°, I 34, (-1 1 2)
27.2°, I 52, (1 0 2)
33.6°, I 100, (1 -2 1)
40.1°, I 33, (-2 1 3)
40.2°, I 42, (1 1 2)
59.2°, I 35, (3 0 -1)



[5]
This entry pairs a crystal structure of KFeCuP2O8 with its calculated X-ray powder pattern. Radiation: Cu Kα. Structure: a DFT-relaxed cell (PBE+U, the Materials Project).
Kinematic intensities with the Lorentz-polarization factor, no thermal factor.

Structure:
```
data_KFeCuP2O8
_chemical_formula_sum 'K4 Fe4 Cu4 P8 O32'
_symmetry_space_group_name_H-M 'P 1 21/c 1'
_symmetry_Int_Tables_number 14
_cell_length_a 8.101
_cell_length_b 10.056
_cell_length_c 9.207
_cell_angle_alpha 90.00
_cell_angle_beta 116.44
_cell_angle_gamma 90.00
loop_
_symmetry_equiv_pos_as_xyz
'x,y,z'
'-x,-y,-z'
'-x,y+1/2,-z+1/2'
'x,-y+1/2,z+1/2'
loop_
_atom_site_label
_atom_site_type_symbol
_atom_site_fract_x
_atom_site_fract_y
_atom_site_fract_z
K1 K 0.158 0.134 0.075
Fe1 Fe 0.228 0.626 0.243
Cu1 Cu 0.420 0.120 0.553
P1 P 0.119 0.587 0.852
P2 P 0.488 0.160 0.859
O1 O 0.031 0.513 0.253
O2 O 0.098 0.708 0.740
O3 O 0.101 0.632 0.004
O4 O 0.313 0.523 0.898
O5 O 0.343 0.236 0.893
O6 O 0.345 0.614 0.488
O7 O 0.391 0.038 0.744
O8 O 0.457 0.747 0.756
```

Top 10 peaks for 5 to 70 degrees two-theta, in order of rising 2θ:
12.2°, I 16, (1 0 0)
13.9°, I 18, (0 1 1)
21.5°, I 13, (1 1 1)
26.1°, I 12, (2 1 0)
26.4°, I 12, (1 2 1)
28.3°, I 100, (2 2 -1)
30.5°, I 18, (1 1 -3)
30.7°, I 16, (1 1 2)
34.3°, I 15, (1 2 -3)
35.7°, I 15, (0 4 0)



[6]
This entry pairs a crystal structure of CaCrGe2O6 with its calculated X-ray powder pattern. Radiation: Cu Kα. Structure: a DFT-relaxed cell (PBE+U, the Materials Project).
Kinematic intensities with the Lorentz-polarization factor, no thermal factor.

Structure:
```
data_CaCrGe2O6
_chemical_formula_sum 'Ca4 Cr4 Ge8 O24'
_symmetry_space_group_name_H-M 'C 1 2/c 1'
_symmetry_Int_Tables_number 15
_cell_length_a 10.450
_cell_length_b 9.408
_cell_length_c 5.488
_cell_angle_alpha 90.00
_cell_angle_beta 106.04
_cell_angle_gamma 90.00
loop_
_symmetry_equiv_pos_as_xyz
'x,y,z'
'-x,-y,-z'
'-x,y,-z+1/2'
'x,-y,z+1/2'
'x+1/2,y+1/2,z'
'-x+1/2,-y+1/2,-z'
'-x+1/2,y+1/2,-z+1/2'
'x+1/2,-y+1/2,z+1/2'
loop_
_atom_site_label
_atom_site_type_symbol
_atom_site_fract_x
_atom_site_fract_y
_atom_site_fract_z
Ca1 Ca 0.000 0.197 0.250
Cr1 Cr 0.000 0.407 0.750
Ge1 Ge 0.215 0.097 0.779
O1 O 0.110 0.404 0.129
O2 O 0.135 0.253 0.653
O3 O 0.144 0.032 0.025
```

Top 10 peaks for 5 to 70 degrees two-theta, in order of rising 2θ:
25.4°, I 17, (0 2 1)
28.2°, I 100, (2 2 -1)
29.0°, I 13, (3 1 -1)
33.2°, I 23, (1 3 -1)
33.7°, I 50, (2 2 1)
34.0°, I 28, (0 0 2)
52.9°, I 14, (5 3 -1)
53.9°, I 10, (2 2 -3)
58.7°, I 11, (1 3 -3)
61.3°, I 12, (5 3 1)